Structure and simulated X-ray diffraction stick pattern of Rb3TlHg6 (the PBE geometry in Alexandria; Cu Kα, 1.54184 Å).

Most intense lines, 2θ from 15° to 90°, sorted by position:
d_spacing	Rel. int.
2.989	100.0
2.922	28.6
2.363	38.4
2.319	20.4
1.667	14.8
1.606	17.5

Structure:
Unit cell a=8.3356 b=8.3356 c=8.3356 alpha=113.14 beta=113.14 gamma=113.14
Fractional positions:
Rb  0.0002  0.4999  0.4999
Rb  0.4999  0.0002  0.4999
Rb  0.4999  0.4999  0.0002
Tl  0.5004  0.5004  0.5004
Hg  0.0607  0.0607  0.3499
Hg  0.0607  0.3499  0.0607
Hg  0.3499  0.0607  0.0607
Hg  0.6485  0.9385  0.9385
Hg  0.9385  0.6485  0.9385
Hg  0.9385  0.9385  0.6485